No. 1
Starting from the PBE geometry in Alexandria, the powder XRD pattern of Tm6Si2C was simulated for Cu Kα X-rays.

Top 10 peaks for 2θ from 10° to 80°, by angle:
26.89°, I 438; 29.57°, I 417; 30.76°, I 1000; 31.48°, I 784; 32.62°, I 421; 33.05°, I 521; 33.15°, I 485; 34.27°, I 370; 38.74°, I 413; 55.90°, I 497

Crystal structure
```
Tm6Si2C
1.0
6.137 0.000 0.000
0.000 7.536 0.000
-5.993 0.000 9.134
Tm Si C
12 4 2
Direct
0.118 0.164 0.444 Tm
0.118 0.336 0.944 Tm
0.300 0.702 0.447 Tm
0.300 0.798 0.947 Tm
0.360 0.033 0.249 Tm
0.360 0.467 0.749 Tm
0.640 0.533 0.251 Tm
0.640 0.967 0.751 Tm
0.700 0.202 0.053 Tm
0.700 0.298 0.553 Tm
0.882 0.664 0.056 Tm
0.882 0.836 0.556 Tm
0.193 0.113 0.756 Si
0.193 0.387 0.256 Si
0.807 0.613 0.744 Si
0.807 0.887 0.244 Si
0.500 0.000 0.500 C
0.500 0.500 0.000 C
```

***

No. 2
Starting from the PBE geometry in Alexandria, the powder XRD pattern of Tm4Si2C was simulated for Cu Kα X-rays.

Top 10 peaks for 2θ from 10° to 80°, by angle:
25.48°, I 229; 29.18°, I 400; 30.81°, I 242; 32.45°, I 1000; 33.43°, I 628; 33.57°, I 241; 37.29°, I 212; 46.60°, I 200; 53.15°, I 178; 54.60°, I 182

Crystal structure
```
Tm4Si2C
1.0
5.579 -1.949 0.000
5.579 1.949 0.000
-4.546 0.000 6.643
Tm Si C
4 2 1
Direct
0.082 0.082 0.348 Tm
0.337 0.337 0.925 Tm
0.663 0.663 0.075 Tm
0.918 0.918 0.652 Tm
0.380 0.380 0.348 Si
0.620 0.620 0.652 Si
0.000 0.000 0.000 C
```

***

No. 3
Starting from the PBE geometry in Alexandria, the powder XRD pattern of Tm2Zn2Si2C was simulated for Cu Kα X-rays.

Top 10 peaks for 2θ from 10° to 80°, by angle:
24.97°, I 310; 25.66°, I 323; 25.76°, I 319; 32.39°, I 422; 33.97°, I 461; 34.31°, I 1000; 35.55°, I 732; 35.75°, I 722; 39.94°, I 428; 48.24°, I 339

Crystal structure
```
Tm2Zn2Si2C
1.0
3.773 0.000 0.000
1.876 5.471 0.000
1.848 1.178 5.716
Tm Zn Si C
2 2 2 1
Direct
0.061 0.153 0.226 Tm
0.939 0.847 0.774 Tm
0.287 0.329 0.596 Zn
0.713 0.671 0.404 Zn
0.366 0.619 0.146 Si
0.634 0.381 0.854 Si
0.500 0.000 0.500 C
```

***

No. 4
Starting from the PBE geometry in Alexandria, the powder XRD pattern of U6SiC5 was simulated for Cu Kα X-rays.

Top 10 peaks for 2θ from 10° to 80°, by angle:
27.58°, I 365; 28.80°, I 1000; 31.95°, I 124; 33.04°, I 339; 37.30°, I 599; 43.55°, I 388; 48.77°, I 309; 50.67°, I 244; 57.63°, I 112; 60.17°, I 352

Crystal structure
```
U6SiC5
1.0
6.469 0.000 0.000
-3.234 5.602 0.000
0.000 0.000 10.846
U Si C
12 2 10
Direct
0.000 0.372 0.125 U
0.000 0.372 0.375 U
0.000 0.628 0.625 U
0.000 0.628 0.875 U
0.372 0.000 0.125 U
0.372 0.000 0.375 U
0.372 0.372 0.625 U
0.372 0.372 0.875 U
0.628 0.000 0.625 U
0.628 0.000 0.875 U
0.628 0.628 0.125 U
0.628 0.628 0.375 U
0.000 0.000 0.250 Si
0.000 0.000 0.750 Si
0.000 0.295 0.750 C
0.000 0.705 0.250 C
0.295 0.000 0.750 C
0.295 0.295 0.250 C
0.333 0.667 0.000 C
0.333 0.667 0.500 C
0.667 0.333 0.000 C
0.667 0.333 0.500 C
0.705 0.000 0.250 C
0.705 0.705 0.750 C
```

***

No. 5
Starting from the PBE geometry in Alexandria, the powder XRD pattern of U3Si2C3 was simulated for Cu Kα X-rays.

Top 10 peaks for 2θ from 10° to 80°, by angle:
24.62°, I 602; 28.03°, I 146; 28.19°, I 247; 33.90°, I 1000; 34.43°, I 568; 45.08°, I 334; 49.49°, I 229; 57.91°, I 183; 59.10°, I 181; 61.34°, I 380

Crystal structure
```
U3Si2C3
1.0
-1.842 1.842 9.495
1.842 -1.842 9.495
1.842 1.842 -9.495
U Si C
3 2 3
Direct
0.000 0.000 0.000 U
0.184 0.184 0.000 U
0.816 0.816 0.000 U
0.404 0.404 0.000 Si
0.596 0.596 0.000 Si
0.250 0.750 0.500 C
0.500 0.500 0.000 C
0.750 0.250 0.500 C
```

***

No. 6
Starting from the PBE geometry in Alexandria, the powder XRD pattern of U3Si2C2 was simulated for Cu Kα X-rays.

Top 10 peaks for 2θ from 10° to 80°, by angle:
24.95°, I 1000; 32.01°, I 364; 34.74°, I 874; 36.36°, I 804; 45.26°, I 252; 47.96°, I 487; 49.95°, I 315; 56.62°, I 248; 60.57°, I 249; 63.34°, I 339

Crystal structure
```
U3Si2C2
1.0
-1.826 1.826 8.387
1.826 -1.826 8.387
1.826 1.826 -8.387
U Si C
3 2 2
Direct
0.000 0.000 0.000 U
0.172 0.172 0.000 U
0.828 0.828 0.000 U
0.417 0.417 0.000 Si
0.583 0.583 0.000 Si
0.304 0.304 0.000 C
0.696 0.696 0.000 C
```